For Cu4Ag, a crystal structure in OQMD, relaxed with PBE gives the computed PXRD pattern in this record (a wavelength of 1.5418 Å).
Lines closer than 0.1° are merged.

a b c (Å): 2.6801 3.6062 13.4741
angles (deg): 90.00 90.00 90.00
Sites, in units of the cell vectors:
1 Cu 0.0000 0.0000 0.0000
2 Cu 0.0000 0.0000 0.1859
3 Cu 0.0000 0.0000 0.4077
4 Cu 0.0000 0.0000 0.5923
5 Cu 0.0000 0.0000 0.8141
6 Cu 0.5000 0.5000 0.0937
7 Cu 0.5000 0.5000 0.5000
8 Cu 0.5000 0.5000 0.9063
9 Ag 0.5000 0.5000 0.2969
10 Ag 0.5000 0.5000 0.7031

Main lines, by angle (10° ≤ 2θ ≤ 90°):
2θ 41.85, I = 957; 2θ 42.00, I = 1000; 2θ 47.87, I = 634; 2θ 50.62, I = 281; 2θ 72.23, I = 339; 2θ 85.24, I = 214

---

For HgBPb, a crystal structure in OQMD, relaxed with PBE gives the computed PXRD pattern in this record (a wavelength of 1.5418 Å).
Lines closer than 0.1° are merged.

a b c (Å): 4.5139 4.5139 4.5139
angles (deg): 60.00 60.00 60.00
Sites, in units of the cell vectors:
1 Hg 0.0000 0.0000 0.0000
2 B 0.2500 0.2500 0.2500
3 Pb 0.5000 0.5000 0.5000

Main lines, by angle (10° ≤ 2θ ≤ 90°):
2θ 27.95, I = 1000; 2θ 39.95, I = 858; 2θ 49.46, I = 291; 2θ 57.77, I = 148; 2θ 65.38, I = 386; 2θ 72.54, I = 307